No. 1
Calculated powder diffraction line list
Compound: Tb4InGe4Rh
Radiation: Cu Kα (λ = 1.5418 Å)
Structure: a DFT-relaxed cell (PBE, the Materials Project)

The 10 most intense peaks (5° ≤ 2θ ≤ 70°), in order of falling intensity:
Position (°2θ)	I/Imax
32.58	100.0
42.26	81.3
35.31	80.2
33.76	74.6
34.00	73.3
32.70	72.1
37.29	65.0
36.36	49.5
39.14	38.2
39.35	33.0

Cell and atoms:
```
data_Tb4InGe4Rh
_cell_length_a 20.4453
_cell_length_b 4.2775
_cell_length_c 10.3737
_cell_angle_alpha 90.00
_cell_angle_beta 105.03
_cell_angle_gamma 90.00
_symmetry_space_group_name_H-M 'C 1 2/m 1'
_symmetry_Int_Tables_number 12
_symmetry_space_group_name_Hall '-C 2y'
loop_
_atom_site_label
_atom_site_type_symbol
_atom_site_fract_x
_atom_site_fract_y
_atom_site_fract_z
Tb1 Tb 0.0414 0.0000 0.2734
Tb2 Tb 0.1273 0.0000 0.6395
Tb3 Tb 0.1289 0.0000 0.9930
Tb4 Tb 0.2219 0.0000 0.3448
In1 In 0.0000 0.5000 0.0000
In2 In 0.0000 0.5000 0.5000
Ge1 Ge 0.0631 0.5000 0.7828
Ge2 Ge 0.1329 0.5000 0.1907
Ge3 Ge 0.1448 0.5000 0.4519
Ge4 Ge 0.1953 0.5000 0.8494
Rh1 Rh 0.2406 0.5000 0.1062
```

=====

No. 2
Calculated powder diffraction line list
Compound: In4GeSb2Te
Radiation: Cu Kα (λ = 1.5418 Å)
Structure: a DFT-relaxed cell (PBE, the Materials Project)

The 10 most intense peaks (5° ≤ 2θ ≤ 70°), in order of falling intensity:
Position (°2θ)	I/Imax
23.48	100.0
38.82	77.6
45.87	46.8
61.61	18.2
56.07	12.3
31.23	3.7
62.05	2.4
36.89	1.9
54.61	1.8
24.47	1.8

Cell and atoms:
```
data_In4GeSb2Te
_cell_length_a 6.5634
_cell_length_b 6.5634
_cell_length_c 13.1145
_cell_angle_alpha 90.00
_cell_angle_beta 90.00
_cell_angle_gamma 90.00
_symmetry_space_group_name_H-M 'I -4 2 m'
_symmetry_Int_Tables_number 121
_symmetry_space_group_name_Hall 'I -4 2'
loop_
_atom_site_label
_atom_site_type_symbol
_atom_site_fract_x
_atom_site_fract_y
_atom_site_fract_z
In1 In 0.2289 0.2289 0.1226
Ge1 Ge 0.0000 0.0000 0.0000
Sb1 Sb 0.0000 0.5000 0.2500
Te1 Te 0.0000 0.0000 0.5000
```

=====

No. 3
Calculated powder diffraction line list
Compound: Sm2InGe2
Radiation: Cu Kα (λ = 1.5418 Å)
Structure: a DFT-relaxed cell (PBE, the Materials Project)

The 10 most intense peaks (5° ≤ 2θ ≤ 70°), in order of falling intensity:
Position (°2θ)	I/Imax
33.86	100.0
31.63	52.4
37.93	32.1
41.94	19.8
57.82	18.5
54.76	16.8
26.61	16.7
56.23	11.8
67.24	11.3
50.14	11.2

Cell and atoms:
```
data_Sm2InGe2
_cell_length_a 7.5021
_cell_length_b 7.5021
_cell_length_c 4.3083
_cell_angle_alpha 90.00
_cell_angle_beta 90.00
_cell_angle_gamma 90.00
_symmetry_space_group_name_H-M 'P 4/m b m'
_symmetry_Int_Tables_number 127
_symmetry_space_group_name_Hall '-P 4 2ab'
loop_
_atom_site_label
_atom_site_type_symbol
_atom_site_fract_x
_atom_site_fract_y
_atom_site_fract_z
Sm1 Sm 0.1789 0.3211 0.0000
In1 In 0.0000 0.0000 0.5000
Ge1 Ge 0.1204 0.6204 0.5000
```

=====

No. 4
Calculated powder diffraction line list
Compound: Tb2InGe2
Radiation: Cu Kα (λ = 1.5418 Å)
Structure: a DFT-relaxed cell (PBE, the Materials Project)

The 10 most intense peaks (5° ≤ 2θ ≤ 70°), in order of falling intensity:
Position (°2θ)	I/Imax
34.32	100.0
32.07	56.9
38.22	36.4
42.90	21.3
58.79	20.3
55.34	17.0
56.82	13.6
34.06	13.5
50.54	12.7
26.77	12.3

Cell and atoms:
```
data_Tb2InGe2
_cell_length_a 7.4460
_cell_length_b 7.4460
_cell_length_c 4.2162
_cell_angle_alpha 90.00
_cell_angle_beta 90.00
_cell_angle_gamma 90.00
_symmetry_space_group_name_H-M 'P 4/m b m'
_symmetry_Int_Tables_number 127
_symmetry_space_group_name_Hall '-P 4 2ab'
loop_
_atom_site_label
_atom_site_type_symbol
_atom_site_fract_x
_atom_site_fract_y
_atom_site_fract_z
Tb1 Tb 0.1781 0.3219 0.0000
In1 In 0.0000 0.0000 0.5000
Ge1 Ge 0.1216 0.6216 0.5000
```

=====

No. 5
Calculated powder diffraction line list
Compound: InGeTe2
Radiation: Cu Kα (λ = 1.5418 Å)
Structure: a DFT-relaxed cell (PBE, the Materials Project)

The 10 most intense peaks (5° ≤ 2θ ≤ 70°), in order of falling intensity:
Position (°2θ)	I/Imax
29.07	100.0
41.57	74.6
68.27	32.6
51.53	26.2
60.25	12.0
25.10	3.0
31.73	2.4
24.03	2.0
57.60	1.6
49.18	1.3

Cell and atoms:
```
data_InGeTe2
_cell_length_a 4.3424
_cell_length_b 4.3424
_cell_length_c 21.3057
_cell_angle_alpha 90.00
_cell_angle_beta 90.00
_cell_angle_gamma 120.00
_symmetry_space_group_name_H-M 'R -3 m'
_symmetry_Int_Tables_number 166
_symmetry_space_group_name_Hall '-R 3 2"'
loop_
_atom_site_label
_atom_site_type_symbol
_atom_site_fract_x
_atom_site_fract_y
_atom_site_fract_z
In1 In 0.0000 0.0000 0.0000
Ge1 Ge 0.0000 0.0000 0.5000
Te1 Te 0.0000 0.0000 0.2455
```

=====

No. 6
Calculated powder diffraction line list
Compound: GeIr
Radiation: Cu Kα (λ = 1.5418 Å)
Structure: a DFT-relaxed cell (PBE, the Materials Project)

The 10 most intense peaks (5° ≤ 2θ ≤ 70°), in order of falling intensity:
Position (°2θ)	I/Imax
43.29	100.0
28.60	75.7
42.86	45.7
41.17	35.0
49.89	33.2
27.98	26.6
51.04	24.8
31.80	22.8
68.79	22.7
32.81	18.8

Cell and atoms:
```
data_GeIr
_cell_length_a 5.6283
_cell_length_b 3.5786
_cell_length_c 6.3785
_cell_angle_alpha 90.00
_cell_angle_beta 90.00
_cell_angle_gamma 90.00
_symmetry_space_group_name_H-M 'P n m a'
_symmetry_Int_Tables_number 62
_symmetry_space_group_name_Hall '-P 2ac 2n'
loop_
_atom_site_label
_atom_site_type_symbol
_atom_site_fract_x
_atom_site_fract_y
_atom_site_fract_z
Ge1 Ge 0.1933 0.2500 0.0762
Ir1 Ir 0.0029 0.2500 0.7087
```

=====

No. 7
Calculated powder diffraction line list
Compound: Ge5Ir4
Radiation: Cu Kα (λ = 1.5418 Å)
Structure: a DFT-relaxed cell (PBE, the Materials Project)

The 10 most intense peaks (5° ≤ 2θ ≤ 70°), in order of falling intensity:
Position (°2θ)	I/Imax
40.42	100.0
45.08	90.2
24.75	77.1
31.44	36.5
52.08	35.9
65.64	30.4
32.81	20.5
62.13	16.3
35.60	13.3
46.18	8.2

Cell and atoms:
```
data_Ge5Ir4
_cell_length_a 5.6914
_cell_length_b 5.6914
_cell_length_c 18.5688
_cell_angle_alpha 90.00
_cell_angle_beta 90.00
_cell_angle_gamma 90.00
_symmetry_space_group_name_H-M 'P -4 c 2'
_symmetry_Int_Tables_number 116
_symmetry_space_group_name_Hall 'P -4 -2c'
loop_
_atom_site_label
_atom_site_type_symbol
_atom_site_fract_x
_atom_site_fract_y
_atom_site_fract_z
Ge1 Ge 0.1451 0.2243 0.1446
Ge2 Ge 0.1977 0.3427 0.9449
Ge3 Ge 0.3224 0.3224 0.7500
Ir1 Ir 0.0000 0.0000 0.0000
Ir2 Ir 0.0000 0.0000 0.2500
Ir3 Ir 0.0000 0.5000 0.0556
Ir4 Ir 0.0000 0.5000 0.3233
Ir5 Ir 0.5000 0.5000 0.1360
```